Calculated powder X-ray diffraction pattern
Compound: Co3Ag
Radiation: a wavelength of 1.5418 Å
Structure: a structure optimized by DFT (PBE)
Peak positions follow from Bragg's law for the DFT cell and can differ from measured ones.

Structural model:
```
data_Co3Ag
_space_group_name_H-M_alt 'P 1 2/m 1'
_space_group_IT_number 10
_cell_length_a 2.665
_cell_length_b 3.456
_cell_length_c 5.575
_cell_angle_alpha 90.00
_cell_angle_beta 90.29
_cell_angle_gamma 90.00
loop_
_space_group_symop_operation_xyz
'x,y,z'
'-x,-y,-z'
'-x,y,-z'
'x,-y,z'
loop_
_atom_site_label
_atom_site_type_symbol
_atom_site_fract_x
_atom_site_fract_y
_atom_site_fract_z
Co1 Co 0.000 0.000 0.000
Co2 Co 0.497 0.500 0.208
Ag1 Ag 0.000 0.000 0.500
```

Most intense lines, 10 to 90 degrees two-theta, by angle:
(0 1 1), 2θ 30.4, intensity 20
(0 1 2), 2θ 41.6, intensity 97
(1 1 0), 2θ 42.9, intensity 100
(1 0 -2), 2θ 47.1, intensity 34
(1 0 2), 2θ 47.3, intensity 33
(0 2 0), 2θ 53.0, intensity 26
(0 0 4), 2θ 67.2, intensity 13
(1 2 -2), 2θ 73.5, intensity 16
(1 2 2), 2θ 73.7, intensity 16
(2 1 -2), 2θ 85.3, intensity 11

Calculated powder X-ray diffraction pattern
Compound: LiHoTm4S8
Radiation: a wavelength of 1.5418 Å
Structure: a structure optimized by DFT (PBE)
Peak positions follow from Bragg's law for the DFT cell and can differ from measured ones.

Structural model:
```
data_LiHoTm4S8
_space_group_name_H-M_alt 'R 3 m'
_space_group_IT_number 160
_space_group_name_Hall 'R 3 -2"'
_cell_length_a 7.9044
_cell_length_b 7.9044
_cell_length_c 19.4383
_cell_angle_alpha 90.00
_cell_angle_beta 90.00
_cell_angle_gamma 120.00
loop_
_atom_site_label
_atom_site_type_symbol
_atom_site_fract_x
_atom_site_fract_y
_atom_site_fract_z
Li1 Li 0.0000 0.0000 0.0000
Ho1 Ho 0.0000 0.0000 0.6297
Tm1 Tm 0.0000 0.0000 0.2504
Tm2 Tm 0.1730 0.3460 0.4568
S1 S 0.0000 0.0000 0.3837
S2 S 0.0000 0.0000 0.8683
S3 S 0.0165 0.5082 0.3779
S4 S 0.1772 0.3545 0.2049
```

Most intense lines, 10 to 90 degrees two-theta, by angle:
(0 0 3), 2θ 13.7, intensity 44
(0 1 2), 2θ 15.8, intensity 16
(0 2 1), 2θ 26.4, intensity 100
(0 0 6), 2θ 27.6, intensity 25
(0 2 4), 2θ 32.0, intensity 41
(0 2 7), 2θ 41.9, intensity 12
(0 3 3), 2θ 42.0, intensity 35
(2 0 8), 2θ 45.8, intensity 31
(2 2 0), 2θ 45.9, intensity 31
(6 0 0), 2θ 85.0, intensity 15

Calculated powder X-ray diffraction pattern
Compound: Tm2Cu2Ni5Ge
Radiation: a wavelength of 1.5418 Å
Structure: a structure optimized by DFT (PBE)
Peak positions follow from Bragg's law for the DFT cell and can differ from measured ones.

Structural model:
```
data_Tm2Cu2Ni5Ge
_space_group_name_H-M_alt 'P 4/m b m'
_space_group_IT_number 127
_space_group_name_Hall '-P 4 2ab'
_cell_length_a 8.943
_cell_length_b 8.943
_cell_length_c 3.577
_cell_angle_alpha 90.00
_cell_angle_beta 90.00
_cell_angle_gamma 90.00
loop_
_atom_site_label
_atom_site_type_symbol
_atom_site_fract_x
_atom_site_fract_y
_atom_site_fract_z
Tm1 Tm 0.177 0.323 0.000
Cu1 Cu 0.120 0.620 0.000
Ni1 Ni 0.000 0.500 0.500
Ni2 Ni 0.060 0.799 0.500
Ge1 Ge 0.000 0.000 0.000
```

Most intense lines, 10 to 90 degrees two-theta, by angle:
(2 0 1), 2θ 32.0, intensity 15
(2 1 1), 2θ 33.6, intensity 37
(2 2 1), 2θ 38.0, intensity 27
(3 1 1), 2θ 40.7, intensity 100
(4 1 0), 2θ 41.6, intensity 55
(3 3 0), 2θ 42.9, intensity 24
(3 2 1), 2θ 44.4, intensity 32
(4 0 1), 2θ 48.0, intensity 12
(0 0 2), 2θ 51.1, intensity 26
(4 1 2), 2θ 67.9, intensity 25

Calculated powder X-ray diffraction pattern
Compound: YbMg2Cu9
Radiation: a wavelength of 1.5418 Å
Structure: a structure optimized by DFT (PBE)
Peak positions follow from Bragg's law for the DFT cell and can differ from measured ones.

Structural model:
```
data_YbMg2Cu9
_space_group_name_H-M_alt 'P 63/m m c'
_space_group_IT_number 194
_space_group_name_Hall '-P 6c 2c'
_cell_length_a 5.0472
_cell_length_b 5.0472
_cell_length_c 16.0804
_cell_angle_alpha 90.00
_cell_angle_beta 90.00
_cell_angle_gamma 120.00
loop_
_atom_site_label
_atom_site_type_symbol
_atom_site_fract_x
_atom_site_fract_y
_atom_site_fract_z
Yb1 Yb 0.3333 0.6667 0.2500
Mg1 Mg 0.3333 0.6667 0.0325
Cu1 Cu 0.0000 0.0000 0.0000
Cu2 Cu 0.0000 0.0000 0.2500
Cu3 Cu 0.1684 0.3369 0.6227
Cu4 Cu 0.3333 0.6667 0.7500
```

Most intense lines, 10 to 90 degrees two-theta, by angle:
(0 0 2), 2θ 11.0, intensity 44
(1 0 3), 2θ 26.3, intensity 27
(1 0 5), 2θ 34.6, intensity 24
(1 1 0), 2θ 35.6, intensity 23
(1 1 2), 2θ 37.3, intensity 18
(2 0 1), 2θ 41.7, intensity 41
(1 1 4), 2θ 42.3, intensity 100
(0 0 8), 2θ 45.1, intensity 28
(3 0 4), 2θ 68.5, intensity 22
(2 2 0), 2θ 75.3, intensity 19

Number 3 is which compound?
Tm2Cu2Ni5Ge

Please write out number 4 again, unchanged.
Calculated powder X-ray diffraction pattern
Compound: YbMg2Cu9
Radiation: a wavelength of 1.5418 Å
Structure: a structure optimized by DFT (PBE)
Peak positions follow from Bragg's law for the DFT cell and can differ from measured ones.

Structural model:
```
data_YbMg2Cu9
_space_group_name_H-M_alt 'P 63/m m c'
_space_group_IT_number 194
_space_group_name_Hall '-P 6c 2c'
_cell_length_a 5.0472
_cell_length_b 5.0472
_cell_length_c 16.0804
_cell_angle_alpha 90.00
_cell_angle_beta 90.00
_cell_angle_gamma 120.00
loop_
_atom_site_label
_atom_site_type_symbol
_atom_site_fract_x
_atom_site_fract_y
_atom_site_fract_z
Yb1 Yb 0.3333 0.6667 0.2500
Mg1 Mg 0.3333 0.6667 0.0325
Cu1 Cu 0.0000 0.0000 0.0000
Cu2 Cu 0.0000 0.0000 0.2500
Cu3 Cu 0.1684 0.3369 0.6227
Cu4 Cu 0.3333 0.6667 0.7500
```

Most intense lines, 10 to 90 degrees two-theta, by angle:
(0 0 2), 2θ 11.0, intensity 44
(1 0 3), 2θ 26.3, intensity 27
(1 0 5), 2θ 34.6, intensity 24
(1 1 0), 2θ 35.6, intensity 23
(1 1 2), 2θ 37.3, intensity 18
(2 0 1), 2θ 41.7, intensity 41
(1 1 4), 2θ 42.3, intensity 100
(0 0 8), 2θ 45.1, intensity 28
(3 0 4), 2θ 68.5, intensity 22
(2 2 0), 2θ 75.3, intensity 19